# 1
The following is a theoretical X-ray powder pattern of NaMnCrC6N6. It was derived from a DFT-relaxed cell (PBE, Alexandria), using Cu Ka.

Structure:
Lattice parameters (Å, degrees): 10.2047 10.2047 10.2047 90.00 90.00 90.00
Space group F-43m (No. 216)
Inequivalent atoms, fractional coordinates:
1 Na 0.0000 0.0000 0.0000
2 Mn 0.2500 0.2500 0.7500
3 Cr 0.2500 0.2500 0.2500
4 C 0.0538 0.2500 0.2500
5 N 0.0617 0.2500 0.7500

The 8 most intense peaks (2θ = 15–90°), in order of falling intensity:
hkl 2 0 0, d 5.102, intensity 1000; hkl 2 2 0, d 3.608, intensity 407; hkl 4 0 0, d 2.551, intensity 369; hkl 4 2 0, d 2.282, intensity 196; hkl 6 2 0, d 1.613, intensity 162; hkl 4 4 0, d 1.804, intensity 148; hkl 6 4 2, d 1.364, intensity 107; hkl 6 0 0, d 1.701, intensity 91

=====

# 2
The following is a theoretical X-ray powder pattern of Mn2CrTeC. It was derived from a DFT-relaxed cell (PBE, Alexandria), using Cu Ka.

Structure:
Lattice parameters (Å, degrees): 4.8035 4.8035 3.7211 90.00 90.00 90.00
Space group P4/mmm (No. 123)
Inequivalent atoms, fractional coordinates:
1 Mn 0.0000 0.5000 0.0000
2 Cr 0.0000 0.0000 0.0000
3 Te 0.5000 0.5000 0.5000
4 C 0.0000 0.0000 0.5000

The 8 most intense peaks (2θ = 15–90°), in order of falling intensity:
hkl 1 0 1, d 2.942, intensity 1000; hkl 2 0 0, d 2.402, intensity 914; hkl 1 1 1, d 2.509, intensity 856; hkl 0 0 2, d 1.860, intensity 724; hkl 2 0 2, d 1.471, intensity 473; hkl 2 2 2, d 1.254, intensity 338; hkl 2 2 0, d 1.698, intensity 296; hkl 3 1 1, d 1.406, intensity 292

=====

# 3
The following is a theoretical X-ray powder pattern of CrC3N3. It was derived from a DFT-relaxed cell (PBE, Alexandria), using Cu Ka.

Structure:
Lattice parameters (Å, degrees): 7.1555 7.1555 12.8415 90.00 90.00 120.00
Space group P6_3/mmc (No. 194)
Inequivalent atoms, fractional coordinates:
1 Cr 0.0000 0.0000 0.0000
2 Cr 0.3333 0.6667 0.2500
3 C 0.1336 0.2673 0.0931
4 N 0.2084 0.4168 0.1487

The 8 most intense peaks (2θ = 15–90°), in order of falling intensity:
hkl 1 0 1, d 5.581, intensity 1000; hkl 1 0 2, d 4.459, intensity 676; hkl 1 1 4, d 2.389, intensity 212; hkl 2 0 3, d 2.510, intensity 185; hkl 2 0 2, d 2.791, intensity 139; hkl 1 1 0, d 3.578, intensity 138; hkl 3 0 4, d 1.737, intensity 106; hkl 2 1 6, d 1.580, intensity 102

=====

# 4
The following is a theoretical X-ray powder pattern of Cr8C2N. It was derived from a DFT-relaxed cell (PBE, Alexandria), using Cu Ka.

Structure:
Lattice parameters (Å, degrees): 8.3831 6.0812 4.6329 90.00 108.62 90.00
Space group C2/m (No. 12)
Inequivalent atoms, fractional coordinates:
1 Cr 0.0692 0.0000 0.2781
2 Cr 0.1211 0.5000 0.2187
3 Cr 0.1591 0.2851 0.7224
4 C 0.1843 0.0000 0.9607
5 N 0.0000 0.5000 0.5000

The 8 most intense peaks (2θ = 15–90°), in order of falling intensity:
hkl 2 2 1, d 1.961, intensity 1000; hkl 2 2 -1, d 2.314, intensity 929; hkl 0 0 2, d 2.195, intensity 583; hkl 3 1 -2, d 1.934, intensity 291; hkl 2 2 0, d 2.414, intensity 273; hkl 4 0 -1, d 2.075, intensity 259; hkl 4 0 0, d 1.986, intensity 196; hkl 2 2 -2, d 1.808, intensity 172